Er2CoTe2S2O14: calculated X-ray diffraction stick pattern (Cu Kα), based on a crystal structure in OQMD, relaxed with GGA+U.
Intensities are scaled so that the largest is 100.

Most intense lines, 2θ = 10–90°, sorted by position:
two_theta	I_rel
13.7	40.7
25.0	100.0
25.8	69.2
27.0	32.8
30.8	50.2
35.8	49.7

Crystal structure
a = 5.2021 Å, b = 7.6961 Å, c = 7.9693 Å
α = 63.83°, β = 72.97°, γ = 85.47°
Sites, in units of the cell vectors:
1 Er 0.0733 0.2524 0.0178
2 Er 0.9267 0.7476 0.9822
3 Co 0.0000 0.0000 0.5000
4 Te 0.4939 0.7290 0.6534
5 Te 0.5061 0.2710 0.3466
6 S 0.2431 0.7501 0.2521
7 S 0.7569 0.2499 0.7479
8 O 0.1082 0.5850 0.2570
9 O 0.1344 0.7667 0.4375
10 O 0.1836 0.9244 0.0855
11 O 0.2480 0.5604 0.8941
12 O 0.2600 0.9330 0.6656
13 O 0.2718 0.1934 0.2450
14 O 0.4643 0.2731 0.7799
15 O 0.5357 0.7269 0.2201
16 O 0.7282 0.8066 0.7550
17 O 0.7400 0.0670 0.3344
18 O 0.7520 0.4396 0.1059
19 O 0.8164 0.0756 0.9145
20 O 0.8656 0.2333 0.5625
21 O 0.8918 0.4150 0.7430